[1]
Starting from a structure optimized by DFT (PBE), the powder XRD pattern of RbCe4S8 was computed for Cu Ka.

Top 12 peaks for 2θ = 10–90°, low angle first:
- 2θ 11.08, rel. 100
- 2θ 22.26, rel. 13
- 2θ 24.82, rel. 33
- 2θ 27.14, rel. 17
- 2θ 27.31, rel. 27
- 2θ 33.41, rel. 26
- 2θ 33.68, rel. 32
- 2θ 42.14, rel. 7
- 2θ 43.70, rel. 22
- 2θ 45.15, rel. 13
- 2θ 45.38, rel. 8
- 2θ 52.30, rel. 9

Atomic structure:
```
RbCe4S8
1.0
7.1723 -4.1449 0.0000
7.1723 4.1449 0.0000
-7.0707 0.0000 7.9862
Rb Ce S
1 4 8
Cartesian
0.0000 0.0000 0.0000 Rb
3.6370 2.0565 3.9931 Ce
0.0616 0.0000 4.2127 Ce
7.2124 0.0000 3.7735 Ce
3.6370 -2.0565 3.9931 Ce
-2.2592 0.0000 2.7042 S
1.2320 1.9519 2.6205 S
1.2320 -1.9519 2.6205 S
4.7676 0.0000 2.5558 S
2.5063 0.0000 5.4304 S
6.0419 1.9519 5.3657 S
6.0419 -1.9519 5.3657 S
9.5331 0.0000 5.2821 S
```

[2]
Starting from a structure optimized by DFT (PBE), the powder XRD pattern of Rb2Ce2ScS6 was computed for Cu Ka.

Top 12 peaks for 2θ = 10–90°, low angle first:
- 2θ 11.33, rel. 63
- 2θ 14.68, rel. 17
- 2θ 16.45, rel. 27
- 2θ 22.77, rel. 28
- 2θ 26.64, rel. 27
- 2θ 29.66, rel. 55
- 2θ 29.78, rel. 100
- 2θ 37.17, rel. 18
- 2θ 40.07, rel. 20
- 2θ 40.20, rel. 37
- 2θ 44.78, rel. 33
- 2θ 46.64, rel. 24

Atomic structure:
```
Rb2Ce2ScS6
1.0
3.5128 -6.0352 0.0000
3.5128 6.0352 0.0000
-2.3356 0.0000 7.8124
Rb Ce Sc S
2 2 1 6
Cartesian
3.5128 4.0063 0.0000 Rb
3.5128 -4.0063 0.0000 Rb
2.3450 2.0047 3.9062 Ce
2.3450 -2.0047 3.9062 Ce
-1.1678 0.0000 3.9062 Sc
-0.0506 1.9293 5.3431 S
1.0308 0.0000 2.4757 S
-0.0506 -1.9293 5.3431 S
4.7405 1.9293 2.4693 S
3.6592 0.0000 5.3366 S
4.7405 -1.9293 2.4693 S
```

[3]
Starting from a structure optimized by DFT (PBE), the powder XRD pattern of RbCeSiS4 was computed for Cu Ka.

Top 12 peaks for 2θ = 10–90°, low angle first:
- 2θ 10.13, rel. 96
- 2θ 19.44, rel. 100
- 2θ 24.37, rel. 34
- 2θ 24.93, rel. 45
- 2θ 26.74, rel. 64
- 2θ 28.21, rel. 38
- 2θ 29.66, rel. 56
- 2θ 31.30, rel. 69
- 2θ 32.62, rel. 45
- 2θ 33.83, rel. 50
- 2θ 34.25, rel. 43
- 2θ 39.44, rel. 85

Atomic structure:
```
RbCeSiS4
1.0
6.5736 0.0000 0.0000
0.0000 6.6671 0.0000
-2.7582 0.0000 8.7318
Rb Ce Si S
2 2 2 8
Cartesian
0.2846 1.6668 3.7917 Rb
3.5308 5.0003 4.9402 Rb
-0.8617 1.6668 8.3038 Ce
4.6770 5.0003 0.4280 Ce
1.4014 5.0003 1.5276 Si
2.4140 1.6668 7.2042 Si
-0.2826 5.0003 2.8054 S
-1.9308 5.0003 8.2017 S
2.6970 0.0025 1.8515 S
2.6970 3.3310 1.8515 S
1.1184 6.6645 6.8803 S
1.1184 3.3361 6.8803 S
5.7462 1.6668 0.5301 S
4.0980 1.6668 5.9264 S
```

[4]
Starting from a structure optimized by DFT (PBE), the powder XRD pattern of Rb2CeSm2S6 was computed for Cu Ka.

Top 12 peaks for 2θ = 10–90°, low angle first:
- 2θ 11.29, rel. 90
- 2θ 22.69, rel. 32
- 2θ 25.23, rel. 20
- 2θ 26.08, rel. 55
- 2θ 29.19, rel. 51
- 2θ 29.30, rel. 100
- 2θ 39.72, rel. 53
- 2θ 43.88, rel. 34
- 2θ 43.99, rel. 17
- 2θ 46.30, rel. 23
- 2θ 50.04, rel. 17
- 2θ 53.65, rel. 26

Atomic structure:
```
Rb2CeSm2S6
1.0
3.5764 -6.1747 0.0000
3.5764 6.1747 0.0000
-2.4077 0.0000 7.8377
Rb Ce Sm S
2 1 2 6
Cartesian
3.5764 4.0919 0.0000 Rb
3.5764 -4.0919 0.0000 Rb
-1.2038 0.0000 3.9189 Ce
2.3726 2.0500 3.9189 Sm
2.3726 -2.0500 3.9189 Sm
-0.0457 2.0277 5.3893 S
1.1063 0.0000 2.4498 S
-0.0457 -2.0277 5.3893 S
4.7909 2.0277 2.4485 S
3.6389 0.0000 5.3880 S
4.7909 -2.0277 2.4485 S
```

[5]
Starting from a structure optimized by DFT (PBE), the powder XRD pattern of Rb4Ce3SmS8 was computed for Cu Ka.

Top 12 peaks for 2θ = 10–90°, low angle first:
- 2θ 11.52, rel. 21
- 2θ 23.15, rel. 21
- 2θ 25.52, rel. 42
- 2θ 28.88, rel. 100
- 2θ 39.81, rel. 36
- 2θ 42.76, rel. 35
- 2θ 46.56, rel. 13
- 2θ 49.18, rel. 17
- 2θ 52.42, rel. 18
- 2θ 59.84, rel. 11
- 2θ 65.67, rel. 13
- 2θ 69.87, rel. 15

Atomic structure:
```
Rb4Ce3SmS8
1.0
4.2298 2.4421 7.6827
-4.2298 2.4421 7.6827
0.0000 -4.8841 7.6827
Rb Ce Sm S
4 3 1 8
Cartesian
0.0000 0.0000 0.0000 Rb
-2.1149 -1.2210 7.6827 Rb
-2.1149 1.2210 15.3653 Rb
0.0000 2.4420 7.6827 Rb
-4.2298 0.0000 11.5240 Ce
-2.1149 1.2210 3.8413 Ce
2.1149 1.2210 3.8413 Ce
0.0000 0.0000 11.5240 Sm
0.0000 0.0000 5.3464 S
-2.0985 -1.2116 13.0264 S
0.0000 -2.4232 10.0216 S
-2.0985 1.2116 10.0216 S
2.0986 -1.2116 13.0264 S
0.0000 2.4232 13.0264 S
2.0985 1.2116 10.0216 S
0.0000 0.0000 17.7016 S
```

[6]
Starting from a structure optimized by DFT (PBE), the powder XRD pattern of Rb3Ce3TlS8 was computed for Cu Ka.

Top 12 peaks for 2θ = 10–90°, low angle first:
- 2θ 11.61, rel. 48
- 2θ 23.34, rel. 21
- 2θ 25.71, rel. 42
- 2θ 29.11, rel. 100
- 2θ 37.00, rel. 13
- 2θ 40.13, rel. 35
- 2θ 43.09, rel. 35
- 2θ 46.94, rel. 14
- 2θ 49.58, rel. 18
- 2θ 52.85, rel. 18
- 2θ 66.24, rel. 12
- 2θ 70.48, rel. 14

Atomic structure:
```
Rb3Ce3TlS8
1.0
4.1980 2.4237 7.6223
-4.1980 2.4237 7.6223
0.0000 -4.8474 7.6223
Rb Ce Tl S
3 3 1 8
Cartesian
-2.0990 -1.2118 7.6223 Rb
-2.0990 1.2118 15.2445 Rb
0.0000 2.4237 7.6223 Rb
-4.1980 0.0000 11.4334 Ce
-2.0990 1.2118 3.8111 Ce
2.0990 1.2118 3.8111 Ce
0.0000 0.0000 11.4334 Tl
-2.2666 -1.3086 12.8851 S
0.0000 0.0000 5.2917 S
0.0000 -2.6172 9.9817 S
-2.2666 1.3086 9.9817 S
2.2666 -1.3086 12.8851 S
0.0000 2.6172 12.8851 S
0.0000 0.0000 17.5750 S
2.2666 1.3086 9.9816 S
```

[7]
Starting from a structure optimized by DFT (PBE), the powder XRD pattern of Rb2Ce3TlS8 was computed for Cu Ka.

Top 12 peaks for 2θ = 10–90°, low angle first:
- 2θ 10.91, rel. 100
- 2θ 21.36, rel. 12
- 2θ 21.91, rel. 21
- 2θ 24.99, rel. 41
- 2θ 25.80, rel. 23
- 2θ 28.81, rel. 68
- 2θ 30.83, rel. 22
- 2θ 35.90, rel. 34
- 2θ 38.75, rel. 25
- 2θ 43.52, rel. 34
- 2θ 44.99, rel. 25
- 2θ 49.25, rel. 18

Atomic structure:
```
Rb2Ce3TlS8
1.0
4.1589 2.4012 8.1119
-4.1589 2.4012 8.1119
0.0000 -4.8023 8.1119
Rb Ce Tl S
2 3 1 8
Cartesian
0.0000 0.0000 0.0000 Rb
0.0000 0.0000 8.5691 Rb
-2.0678 -1.1938 20.1710 Ce
2.0678 -1.1938 20.1710 Ce
0.0000 2.3877 20.1710 Ce
0.0000 0.0000 12.5554 Tl
-2.3058 -1.3312 13.5790 S
0.0000 0.0000 5.3222 S
0.0000 -2.5301 10.6879 S
-2.1911 1.2650 10.6879 S
2.3058 -1.3312 13.5790 S
0.0000 2.6625 13.5790 S
0.0000 0.0000 18.7883 S
2.1911 1.2650 10.6879 S
```

[8]
Starting from a structure optimized by DFT (PBE), the powder XRD pattern of Rb3CeTm3S8 was computed for Cu Ka.

Top 12 peaks for 2θ = 10–90°, low angle first:
- 2θ 11.35, rel. 60
- 2θ 22.81, rel. 25
- 2θ 25.94, rel. 13
- 2θ 26.78, rel. 42
- 2θ 29.92, rel. 100
- 2θ 37.34, rel. 15
- 2θ 40.32, rel. 36
- 2θ 45.22, rel. 33
- 2θ 46.81, rel. 27
- 2θ 51.23, rel. 18
- 2θ 55.18, rel. 17
- 2θ 74.01, rel. 14

Atomic structure:
```
Rb3CeTm3S8
1.0
4.0103 2.3153 7.7978
-4.0103 2.3153 7.7978
0.0000 -4.6307 7.7978
Rb Ce Tm S
3 1 3 8
Cartesian
-2.0051 -1.1577 7.7978 Rb
-2.0051 1.1577 15.5956 Rb
0.0000 2.3153 7.7978 Rb
0.0000 0.0000 11.6967 Ce
-4.0103 0.0000 11.6967 Tm
-2.0051 1.1577 3.8989 Tm
2.0051 1.1577 3.8989 Tm
-2.0161 -1.1640 13.1487 S
0.0000 0.0000 5.3621 S
0.0000 -2.3280 10.2447 S
-2.0161 1.1640 10.2447 S
2.0161 -1.1640 13.1487 S
0.0000 2.3280 13.1487 S
0.0000 0.0000 18.0313 S
2.0161 1.1640 10.2447 S
```